The following is a theoretical X-ray diffraction stick pattern of Cs4PbO3. It was derived from a GGA-PBE-relaxed structure, using Cu Kα.
Peak positions follow from Bragg's law for the DFT cell and can differ from measured ones.

Most intense lines, 2θ from 10° to 80°, low angle first:
2theta	I_rel	h k l
23.17	14	2 0 -3
25.51	14	1 2 -1
25.99	64	2 0 2
26.12	67	2 1 -3
26.46	44	3 1 -2
27.24	100	1 2 1
31.79	29	1 1 -4
32.66	55	4 1 -1
43.60	17	3 3 -2
46.61	20	3 2 3

Crystal structure
a b c (Å): 11.8797 7.4528 12.2224
angles (deg): 90.00 110.62 90.00
Space group P2_1 (No. 4)
Inequivalent atoms, fractional coordinates:
Cs1 0.0212 0.0000 0.4182 (multiplicity 2)
Cs2 0.0413 0.2489 0.9365 (multiplicity 2)
Cs3 0.1602 0.7136 0.8864 (multiplicity 2)
Cs4 0.1769 0.3999 0.3177 (multiplicity 2)
Cs5 0.3367 0.6458 0.6579 (multiplicity 2)
Cs6 0.3695 0.3663 0.1231 (multiplicity 2)
Cs7 0.4391 0.1642 0.5691 (multiplicity 2)
Cs8 0.4653 0.8462 0.0983 (multiplicity 2)
Pb1 0.2216 0.1664 0.7276 (multiplicity 2)
Pb2 0.2492 0.9013 0.2734 (multiplicity 2)
O1 0.0924 0.0821 0.1811 (multiplicity 2)
O2 0.1983 0.2875 0.5525 (multiplicity 2)
O3 0.2280 0.6910 0.1391 (multiplicity 2)
O4 0.2688 0.4140 0.8329 (multiplicity 2)
O5 0.3980 0.0352 0.7713 (multiplicity 2)
O6 0.4114 0.0517 0.2809 (multiplicity 2)